1.
Calculated powder diffractogram
Compound: Ho3CI7
Radiation: Cu Kα (λ = 1.5418 Å)
Structure: a crystal structure in Alexandria, relaxed with GGA-PBE
Lines closer than 0.1° are merged.

Crystal structure
```
Ho3CI7
1.0
8.4629 0.0000 0.0000
-4.2314 7.3291 0.0000
0.0000 0.0000 7.7459
Ho C I
3 1 7
direct
0.0247 0.5123 0.0000
0.4877 0.5123 0.0000
0.4877 0.9753 0.0000
0.3333 0.6667 0.0841
0.1651 0.3303 0.7551
0.1651 0.8349 0.7551
0.3344 0.1672 0.2202
0.6667 0.3333 0.7660
0.6697 0.8349 0.7551
0.8328 0.1672 0.2202
0.8328 0.6656 0.2202
```

The 10 most intense peaks (10 to 90 degrees two-theta), low angle first:
2θ (°)  I_rel
11.42  577
16.65  165
26.92  1000
33.67  623
42.74  336
42.85  327
51.23  160
55.48  138
65.34  209
78.32  153


2.
Calculated powder diffractogram
Compound: PuCuCl4
Radiation: Cu Kα (λ = 1.5418 Å)
Structure: a crystal structure in Alexandria, relaxed with GGA-PBE
Lines closer than 0.1° are merged.

Crystal structure
```
PuCuCl4
1.0
-3.3459 3.3459 3.4392
3.3459 -3.3459 3.4392
3.3459 3.3459 -3.4392
Pu Cu Cl
1 1 4
direct
0.0000 0.0000 0.0000
0.2500 0.7500 0.5000
0.9999 0.9963 0.4970
0.0037 0.5007 0.0036
0.4971 0.0001 0.9964
0.4993 0.5029 0.5030
```

The 10 most intense peaks (10 to 90 degrees two-theta), low angle first:
2θ (°)  I_rel
18.50  1000
18.75  214
32.18  404
32.63  501
37.50  272
38.03  276
41.64  131
50.12  154
50.65  229
50.96  149


3.
Calculated powder diffractogram
Compound: KNa3Tl6
Radiation: Cu Kα (λ = 1.5418 Å)
Structure: a crystal structure in Alexandria, relaxed with GGA-PBE
Lines closer than 0.1° are merged.

Crystal structure
```
KNa3Tl6
1.0
9.7564 0.0000 0.0000
0.0000 11.8550 0.0000
0.0000 0.0000 5.7218
K Na Tl
2 6 12
direct
0.0000 0.0000 0.0000
0.5000 0.5000 0.5000
0.0000 0.5000 0.5000
0.2495 0.0415 0.5000
0.2505 0.5415 0.0000
0.5000 0.0000 0.0000
0.7495 0.4585 0.0000
0.7505 0.9585 0.5000
0.0464 0.3227 0.0000
0.0959 0.7869 0.5000
0.2280 0.3119 0.5000
0.2720 0.8119 0.0000
0.4041 0.2869 0.0000
0.4536 0.8227 0.5000
0.5464 0.1773 0.5000
0.5959 0.7131 0.0000
0.7280 0.1881 0.0000
0.7720 0.6881 0.5000
0.9041 0.2131 0.5000
0.9536 0.6773 0.0000
```

The 10 most intense peaks (10 to 90 degrees two-theta), low angle first:
2θ (°)  I_rel
14.95  942
17.51  440
31.27  476
31.58  436
32.56  1000
33.11  723
34.82  251
45.01  219
56.47  335
56.83  181


4.
Calculated powder diffractogram
Compound: KY6Se8
Radiation: Cu Kα (λ = 1.5418 Å)
Structure: a crystal structure in Alexandria, relaxed with GGA-PBE
Lines closer than 0.1° are merged.

Crystal structure
```
KY6Se8
1.0
11.0111 0.0000 0.0000
-5.5056 9.5359 0.0000
0.0000 0.0000 4.1815
K Y Se
1 6 8
direct
0.0000 0.0000 0.0000
0.1375 0.4817 0.2503
0.3442 0.8625 0.2503
0.4817 0.3442 0.7497
0.5183 0.6558 0.2503
0.6558 0.1375 0.7497
0.8625 0.5183 0.7497
0.0447 0.6891 0.2493
0.3109 0.3557 0.2493
0.3333 0.6667 0.7503
0.3557 0.0447 0.7507
0.6443 0.9553 0.2493
0.6667 0.3333 0.2497
0.6891 0.6443 0.7507
0.9553 0.3109 0.7507
```

The 10 most intense peaks (10 to 90 degrees two-theta), low angle first:
2θ (°)  I_rel
23.23  273
28.07  418
28.39  418
32.80  1000
33.89  415
39.18  924
43.27  271
46.87  421
56.07  189
73.05  191


5.
Calculated powder diffractogram
Compound: CaAcPt2O8
Radiation: Cu Kα (λ = 1.5418 Å)
Structure: a crystal structure in Alexandria, relaxed with GGA-PBE
Lines closer than 0.1° are merged.

Crystal structure
```
CaAcPt2O8
1.0
5.4257 0.0000 0.0000
-2.7128 4.6988 0.0000
0.0000 0.0000 6.4754
Ca Ac Pt O
1 1 2 8
direct
0.0000 0.0000 0.0000
0.0000 0.0000 0.5000
0.3333 0.6667 0.9570
0.6667 0.3333 0.0430
0.0480 0.3825 0.1627
0.3333 0.6667 0.6170
0.3345 0.9520 0.1627
0.3825 0.3345 0.8373
0.6175 0.6655 0.1627
0.6655 0.0480 0.8373
0.6667 0.3333 0.3830
0.9520 0.6175 0.8373
```

The 10 most intense peaks (10 to 90 degrees two-theta), low angle first:
2θ (°)  I_rel
13.67  222
23.39  1000
27.55  251
33.02  637
40.86  241
43.52  567
46.29  208
53.50  228
58.97  164
68.41  140


6.
Calculated powder diffractogram
Compound: PmGa3Ru
Radiation: Cu Kα (λ = 1.5418 Å)
Structure: a crystal structure in Alexandria, relaxed with GGA-PBE
Lines closer than 0.1° are merged.

Crystal structure
```
PmGa3Ru
1.0
-2.9126 4.7355 3.7780
2.9126 -4.7355 3.7780
2.9126 4.7355 -3.7780
Pm Ga Ru
2 6 2
direct
0.3498 0.0998 0.2500
0.6502 0.9002 0.7500
0.2005 0.0000 0.7005
0.2005 0.5000 0.2005
0.2034 0.4534 0.7500
0.7966 0.5466 0.2500
0.7995 0.0000 0.2995
0.7995 0.5000 0.7995
0.0000 0.5000 0.5000
0.5000 0.5000 0.0000
```

The 10 most intense peaks (10 to 90 degrees two-theta), low angle first:
2θ (°)  I_rel
26.98  749
29.72  819
30.69  570
36.21  418
38.00  448
39.03  1000
40.32  359
49.62  250
52.13  253
55.60  441


7.
Calculated powder diffractogram
Compound: CrH6Pd7
Radiation: Cu Kα (λ = 1.5418 Å)
Structure: a crystal structure in Alexandria, relaxed with GGA-PBE
Lines closer than 0.1° are merged.

Crystal structure
```
CrH6Pd7
1.0
5.6590 0.0000 0.0000
-2.7241 4.9630 0.0000
-1.4756 -2.4749 5.0309
Cr H Pd
1 6 7
direct
0.0000 0.0000 0.0000
0.0006 0.6811 0.1579
0.1030 0.2489 0.3525
0.1072 0.2664 0.8233
0.4777 0.1592 0.1578
0.5565 0.7160 0.8236
0.9376 0.7039 0.6425
0.4085 0.9258 0.8235
0.4110 0.9184 0.3280
0.5074 0.5064 0.5013
0.5075 0.5089 0.0167
0.8989 0.4163 0.8235
0.9101 0.4171 0.3259
0.9949 0.9936 0.5012
```

The 10 most intense peaks (10 to 90 degrees two-theta), low angle first:
2θ (°)  I_rel
35.90  288
36.91  454
40.36  583
40.54  1000
52.47  121
64.26  172
68.92  221
76.40  103
78.55  103
79.05  154


What is the formula in the third record? KNa3Tl6